# LiCoPO4
Computed XRD peak list, λ = 1.5418 Å (Cu Kα). Input: DFT lattice parameters and positions (GGA+U).

Structural model:
Lattice parameters (Å, degrees): 8.0936 5.3211 8.4679 90.00 104.73 90.00
Space group Pc (No. 7)
One atom of each set of equivalent atoms:
Li 0.0000 0.1510 0.0000 x2
Li 0.4688 0.3334 0.2932 x2
Co 0.1014 0.3363 0.3665 x2
Co 0.6034 0.1751 0.6881 x2
P 0.2266 0.1702 0.7421 x2
P 0.7219 0.3284 0.0637 x2
O 0.0917 0.1777 0.5737 x2
O 0.1507 0.2987 0.8736 x2
O 0.2684 0.1102 0.2910 x2
O 0.3887 0.3144 0.7289 x2
O 0.5898 0.1852 0.1357 x2
O 0.6524 0.4007 0.5212 x2
O 0.7511 0.2006 0.9076 x2
O 0.9022 0.3149 0.1816 x2

Most intense lines, 2θ = 5–70°, sorted by position:
2θ/deg  intensity
21.51  100
21.74  36
22.72  91
27.02  89
27.52  27
28.17  40
32.09  47
33.69  32
35.48  21
59.24  23


# Li9Mn2Co5O16
Computed XRD peak list, λ = 1.5418 Å (Cu Kα). Input: DFT lattice parameters and positions (GGA+U).

Structural model:
Lattice parameters (Å, degrees): 5.8293 6.4941 7.6993 86.38 81.11 76.88
Space group P-1 (No. 2)
One atom of each set of equivalent atoms:
Li 0.0000 0.0000 0.0000 x1
Li 0.0530 0.1250 0.6285 x2
Li 0.1879 0.3712 0.8728 x2
Li 0.3058 0.6330 0.1251 x2
Li 0.4388 0.8791 0.3712 x2
Mn 0.3660 0.7539 0.7549 x2
Co 0.1280 0.2525 0.2467 x2
Co 0.2561 0.5027 0.4994 x2
Co 0.5000 0.0000 0.0000 x1
O 0.0360 0.5478 0.3144 x2
O 0.0991 0.6936 0.9147 x2
O 0.1690 0.8132 0.5707 x2
O 0.2389 0.9660 0.1718 x2
O 0.2966 0.0444 0.8212 x2
O 0.3554 0.1994 0.4122 x2
O 0.4348 0.2926 0.0610 x2
O 0.4614 0.4587 0.6901 x2

Most intense lines, 2θ = 5–70°, sorted by position:
2θ/deg  intensity
18.51  100
35.64  15
36.43  13
36.69  13
42.96  29
44.27  27
44.56  26
47.89  9
63.31  15
63.46  7


# Ba2MgZnWO6
Computed XRD peak list, λ = 1.5418 Å (Cu Kα). Input: DFT lattice parameters and positions (GGA+U).

Structural model:
Lattice parameters (Å, degrees): 5.7752 5.7886 10.4864 90.00 90.00 90.00
Space group Immm (No. 71)
One atom of each set of equivalent atoms:
Ba 0.0000 0.0000 0.1892 x4
Mg 0.0000 0.0000 0.5000 x2
Zn 0.0000 0.5000 0.0000 x2
W 0.0000 0.5000 0.5000 x2
O 0.0000 0.5000 0.3023 x4
O 0.2488 0.2618 0.0000 x8

Most intense lines, 2θ = 5–70°, sorted by position:
2θ/deg  intensity
17.50  36
27.67  100
29.87  42
30.93  64
34.20  13
35.79  14
43.52  30
44.31  37
53.04  34
56.51  13


# Ba2Co2F11
Computed XRD peak list, λ = 1.5418 Å (Cu Kα). Input: DFT lattice parameters and positions (GGA+U).

Structural model:
Lattice parameters (Å, degrees): 7.6378 7.6378 14.1399 90.00 90.00 120.00
Space group P3_2 (No. 145)
One atom of each set of equivalent atoms:
Ba 0.1452 0.4727 0.0000 x3
Ba 0.5366 0.1796 0.8439 x3
Co 0.0253 0.6678 0.7232 x3
Co 0.2254 0.0787 0.5672 x3
F 0.0126 0.1157 0.5777 x3
F 0.0714 0.7874 0.5948 x3
F 0.1129 0.4995 0.6631 x3
F 0.1630 0.0706 0.4229 x3
F 0.1991 0.4837 0.4406 x3
F 0.3258 0.0595 0.1808 x3
F 0.3311 0.1741 0.6892 x3
F 0.3986 0.3464 0.0187 x3
F 0.4235 0.0133 0.5202 x3
F 0.4233 0.3652 0.5238 x3
F 0.5242 0.2791 0.3551 x3

Most intense lines, 2θ = 5–70°, sorted by position:
2θ/deg  intensity
18.37  41
23.17  88
24.14  100
26.53  44
27.70  59
28.63  40
29.82  47
38.18  69
40.86  54
47.62  31


# Li9Mn2Co5O16
Computed XRD peak list, λ = 1.5418 Å (Cu Kα). Input: DFT lattice parameters and positions (GGA+U).

Structural model:
Lattice parameters (Å, degrees): 5.9042 6.4522 7.8411 86.02 75.95 76.94
Space group P1 (No. 1)
One atom of each set of equivalent atoms:
Li 0.0000 0.0000 0.0000 x1
Li 0.0592 0.1217 0.6283 x1
Li 0.1215 0.2416 0.2567 x1
Li 0.2436 0.4912 0.5099 x1
Li 0.3615 0.7499 0.7475 x1
Li 0.4938 0.0024 0.0018 x1
Li 0.6228 0.2415 0.2564 x1
Li 0.7518 0.4926 0.5090 x1
Li 0.8808 0.7505 0.7473 x1
Mn 0.5593 0.1221 0.6287 x1
Mn 0.8097 0.6205 0.1286 x1
Co 0.1768 0.3704 0.8714 x1
Co 0.3102 0.6221 0.1289 x1
Co 0.4335 0.8708 0.3822 x1
Co 0.6883 0.3700 0.8759 x1
Co 0.9413 0.8742 0.3860 x1
O 0.0178 0.5772 0.2961 x1
O 0.0811 0.6697 0.9460 x1
O 0.1688 0.8094 0.5483 x1
O 0.2060 0.9126 0.1956 x1
O 0.2879 0.0757 0.8145 x1
O 0.3636 0.1619 0.4527 x1
O 0.4115 0.3341 0.0584 x1
O 0.4509 0.4183 0.6930 x1
O 0.5387 0.5743 0.3090 x1
O 0.6021 0.6650 0.9631 x1
O 0.6668 0.8269 0.5660 x1
O 0.7079 0.9136 0.1973 x1
O 0.7526 0.0812 0.8038 x1
O 0.8308 0.1676 0.4431 x1
O 0.9150 0.3241 0.0634 x1
O 0.9472 0.4302 0.7059 x1

Most intense lines, 2θ = 5–70°, sorted by position:
2θ/deg  intensity
18.45  100
35.05  17
36.78  23
42.15  30
44.68  51
58.78  10
62.95  7
63.09  15
63.27  7
65.76  9


# CoBi2SO7
Computed XRD peak list, λ = 1.5418 Å (Cu Kα). Input: DFT lattice parameters and positions (GGA+U).

Structural model:
Lattice parameters (Å, degrees): 7.2923 16.0326 5.4430 90.00 90.00 90.00
Space group Pbcm (No. 57)
One atom of each set of equivalent atoms:
Co 0.0539 0.1733 0.2500 x4
Bi 0.1683 0.0188 0.7500 x4
Bi 0.2256 0.6591 0.7500 x4
S 0.4063 0.1099 0.2500 x4
O 0.0452 0.5817 0.5041 x8
O 0.0790 0.7500 0.0000 x4
O 0.3114 0.1471 0.0301 x8
O 0.3841 0.0176 0.2500 x4
O 0.3953 0.6329 0.2500 x4

Most intense lines, 2θ = 5–70°, sorted by position:
2θ/deg  intensity
12.14  29
13.34  19
26.37  100
30.45  14
31.57  28
32.91  20
33.54  14
34.02  27
45.45  17
54.92  21